Entry 1:
The following is a calculated XRD peak list of Li2Ga3Pt3. It was derived from a DFT-relaxed cell (PBE, Alexandria), using Cu Ka.
Neutral-atom scattering factors, no anomalous dispersion.

Main lines, sorted by position (10 to 90 degrees two-theta):
2θ = 23.3°, I = 56.9
2θ = 23.6°, I = 100.0
2θ = 28.0°, I = 24.7
2θ = 29.5°, I = 31.1
2θ = 31.4°, I = 44.1
2θ = 36.1°, I = 36.1
2θ = 40.6°, I = 23.6
2θ = 41.1°, I = 98.3
2θ = 41.7°, I = 44.9
2θ = 51.1°, I = 26.4

Structural model:
Cell lengths 13.1077, 7.6430, 5.0204 Å; angles 90.00, 97.83, 90.00 degrees
Space group C2/c (No. 15)
Unique sites:
Li1 0.1708 0.0197 0.0039 [8 per cell]
Ga1 0.0000 0.2079 0.7500 [4 per cell]
Ga2 0.1450 0.3568 0.1628 [8 per cell]
Pt1 0.0000 0.1340 0.2500 [4 per cell]
Pt2 0.1784 0.3122 0.6707 [8 per cell]

---

Entry 2:
The following is a calculated XRD peak list of TmAlZnPd2. It was derived from a DFT-relaxed cell (PBE, Alexandria), using Cu Ka.
Neutral-atom scattering factors, no anomalous dispersion.

Main lines, sorted by position (10 to 90 degrees two-theta):
2θ = 13.3°, I = 46.3
2θ = 31.3°, I = 94.3
2θ = 34.1°, I = 58.8
2θ = 36.5°, I = 49.2
2θ = 38.6°, I = 21.5
2θ = 41.7°, I = 100.0
2θ = 48.8°, I = 19.4
2θ = 50.8°, I = 25.8
2θ = 59.3°, I = 19.7
2θ = 66.3°, I = 25.1

Structural model:
Cell lengths 5.2584, 13.2868, 5.3005 Å; angles 90.00, 90.00, 90.00 degrees
Space group Cmme (No. 67)
Unique sites:
Tm1 0.0000 0.2500 0.2253 [4 per cell]
Al1 0.2500 0.0000 0.5000 [4 per cell]
Zn1 0.0000 0.0000 0.0000 [4 per cell]
Pd1 0.0000 0.1463 0.6992 [8 per cell]

---

Entry 3:
The following is a calculated XRD peak list of La2PrYIn2. It was derived from a DFT-relaxed cell (PBE, Alexandria), using Cu Ka.
Neutral-atom scattering factors, no anomalous dispersion.

Main lines, sorted by position (10 to 90 degrees two-theta):
2θ = 27.4°, I = 14.0
2θ = 28.9°, I = 16.9
2θ = 31.0°, I = 100.0
2θ = 31.1°, I = 15.4
2θ = 32.1°, I = 52.8
2θ = 33.6°, I = 23.4
2θ = 34.0°, I = 40.1
2θ = 36.8°, I = 14.4
2θ = 51.0°, I = 11.2
2θ = 59.0°, I = 24.2

Structural model:
Cell lengths 5.2667, 10.3583, 6.9198 Å; angles 90.00, 90.00, 90.00 degrees
Space group Pmc2_1 (No. 26)
Unique sites:
La1 0.0000 0.0574 0.0000 [2 per cell]
La2 0.5000 0.1780 0.2329 [2 per cell]
Pr1 0.5000 0.4582 0.8771 [2 per cell]
Y1 0.0000 0.3089 0.6002 [2 per cell]
In1 0.0000 0.3794 0.1416 [2 per cell]
In2 0.5000 0.1467 0.7159 [2 per cell]

---

Entry 4:
The following is a calculated XRD peak list of Tm2TePt. It was derived from a DFT-relaxed cell (PBE, Alexandria), using Cu Ka.
Neutral-atom scattering factors, no anomalous dispersion.

Main lines, sorted by position (10 to 90 degrees two-theta):
2θ = 12.4°, I = 22.3
2θ = 26.1°, I = 33.8
2θ = 29.9°, I = 9.9
2θ = 32.5°, I = 100.0
2θ = 38.7°, I = 27.6
2θ = 43.6°, I = 53.2
2θ = 49.6°, I = 19.6
2θ = 55.4°, I = 22.3
2θ = 69.5°, I = 13.4
2θ = 73.0°, I = 19.7

Structural model:
Cell lengths 4.1536, 4.1536, 21.3654 Å; angles 90.00, 90.00, 120.00 degrees
Space group R3m (No. 160, hexagonal axes)
Unique sites:
Tm1 0.0000 0.0000 0.0000 [3 per cell]
Tm2 0.0000 0.0000 0.1965 [3 per cell]
Te1 0.0000 0.0000 0.7652 [3 per cell]
Pt1 0.0000 0.0000 0.5990 [3 per cell]

---

Entry 5:
The following is a calculated XRD peak list of LiPa2NbN5. It was derived from a DFT-relaxed cell (PBE, Alexandria), using Cu Ka.
Neutral-atom scattering factors, no anomalous dispersion.

Main lines, sorted by position (10 to 90 degrees two-theta):
2θ = 17.8°, I = 46.8
2θ = 27.2°, I = 55.8
2θ = 27.9°, I = 68.6
2θ = 30.1°, I = 100.0
2θ = 32.7°, I = 39.6
2θ = 33.3°, I = 30.3
2θ = 34.1°, I = 50.4
2θ = 39.1°, I = 83.5
2θ = 47.9°, I = 34.3
2θ = 63.1°, I = 32.3

Structural model:
Cell lengths 3.2963, 13.1126, 9.9699 Å; angles 90.00, 90.00, 90.00 degrees
Space group Cmc2_1 (No. 36)
Unique sites:
Li1 0.0000 0.0187 0.0000 [4 per cell]
Pa1 0.0000 0.3675 0.8294 [4 per cell]
Pa2 0.0000 0.3856 0.2108 [4 per cell]
Nb1 0.0000 0.3090 0.5326 [4 per cell]
N1 0.0000 0.0096 0.3037 [4 per cell]
N2 0.0000 0.1411 0.5385 [4 per cell]
N3 0.0000 0.1908 0.8866 [4 per cell]
N4 0.0000 0.2118 0.1888 [4 per cell]
N5 0.0000 0.4489 0.5931 [4 per cell]

---

Entry 6:
The following is a calculated XRD peak list of LaNi4Ge4. It was derived from a DFT-relaxed cell (PBE, Alexandria), using Cu Ka.
Neutral-atom scattering factors, no anomalous dispersion.

Main lines, sorted by position (10 to 90 degrees two-theta):
2θ = 15.4°, I = 12.9
2θ = 22.3°, I = 29.7
2θ = 31.1°, I = 23.9
2θ = 31.4°, I = 48.3
2θ = 34.8°, I = 100.0
2θ = 39.4°, I = 56.6
2θ = 44.7°, I = 52.2
2θ = 50.3°, I = 36.5
2θ = 53.6°, I = 56.7
2θ = 60.3°, I = 14.9

Structural model:
Cell lengths 8.1444, 8.1444, 4.5759 Å; angles 90.00, 90.00, 90.00 degrees
Space group I4/m (No. 87)
Unique sites:
La1 0.0000 0.0000 0.0000 [2 per cell]
Ni1 0.1743 0.3192 0.5000 [8 per cell]
Ge1 0.1126 0.6298 0.5000 [8 per cell]

---

Entry 7:
The following is a calculated XRD peak list of Sm2ErSe2S2. It was derived from a DFT-relaxed cell (PBE, Alexandria), using Cu Ka.
Neutral-atom scattering factors, no anomalous dispersion.

Main lines, sorted by position (10 to 90 degrees two-theta):
2θ = 12.0°, I = 16.3
2θ = 25.0°, I = 100.0
2θ = 25.3°, I = 29.2
2θ = 35.2°, I = 78.2
2θ = 35.7°, I = 61.4
2θ = 51.0°, I = 54.4
2θ = 51.4°, I = 21.4
2θ = 58.0°, I = 20.1
2θ = 63.8°, I = 13.8
2θ = 75.3°, I = 17.1

Structural model:
Cell lengths 5.0308, 5.0308, 14.7731 Å; angles 90.00, 90.00, 90.00 degrees
Space group I4/mmm (No. 139)
Unique sites:
Sm1 0.0000 0.0000 0.1222 [4 per cell]
Er1 0.0000 0.0000 0.5000 [2 per cell]
Se1 0.0000 0.0000 0.3133 [4 per cell]
S1 0.0000 0.5000 0.0000 [4 per cell]